(1)
Theoretical X-ray diffraction stick pattern of SmHo5Al3 for Cu Kα X-rays, from a crystal structure in Alexandria, relaxed with PBE.
Intensities are scaled so that the largest is 100.

Structural model:
a b c (Å): 9.0759 9.0759 6.6318
angles (deg): 90.00 90.00 120.00
Element x y z (fractional)
Sm 0.0000 0.0000 0.0000
Sm 0.0000 0.0000 0.5000
Ho 0.0000 0.3325 0.2500
Ho 0.0000 0.6675 0.7500
Ho 0.3325 0.0000 0.2500
Ho 0.3325 0.3325 0.7500
Ho 0.3333 0.6667 0.0000
Ho 0.3333 0.6667 0.5000
Ho 0.6675 0.0000 0.7500
Ho 0.6667 0.3333 0.0000
Ho 0.6667 0.3333 0.5000
Ho 0.6675 0.6675 0.2500
Al 0.0000 0.3374 0.7500
Al 0.0000 0.6626 0.2500
Al 0.3374 0.0000 0.7500
Al 0.3374 0.3374 0.2500
Al 0.6626 0.0000 0.2500
Al 0.6626 0.6626 0.7500

Top 10 peaks for 15 to 90 degrees two-theta, in order of rising 2θ:
2θ/deg	I_rel
23.76	51
33.47	100
34.22	89
48.62	35
55.36	18
60.80	36
61.28	17
66.77	26
81.86	16
87.24	14

---

(2)
Theoretical X-ray diffraction stick pattern of Hg3Rh2 for Cu Kα X-rays, from a crystal structure in Alexandria, relaxed with PBE.
Intensities are scaled so that the largest is 100.

Structural model:
a b c (Å): 7.4553 5.6451 8.5514
angles (deg): 59.22 40.58 80.20
Element x y z (fractional)
Hg 0.0000 0.0000 0.0000
Hg 0.2500 0.2500 0.2500
Hg 0.4368 0.5395 0.3543
Hg 0.5395 0.4368 0.6694
Hg 0.5806 0.8957 0.7105
Hg 0.8957 0.5806 0.8132
Rh 0.1183 0.7781 0.2839
Rh 0.4303 0.9661 0.4719
Rh 0.7781 0.1183 0.8197
Rh 0.9661 0.4303 0.1317

Top 10 peaks for 15 to 90 degrees two-theta, in order of rising 2θ:
2θ/deg	I_rel
26.97	15
36.14	18
37.34	36
37.53	100
38.19	75
38.46	33
40.41	21
45.83	32
62.54	20
70.23	13

---

(3)
Theoretical X-ray diffraction stick pattern of UPbS4 for Cu Kα X-rays, from a crystal structure in Alexandria, relaxed with PBE.
Intensities are scaled so that the largest is 100.

Structural model:
a b c (Å): 6.2900 4.0638 7.1705
angles (deg): 90.00 93.44 90.00
Element x y z (fractional)
U 0.0000 0.0000 0.0000
Pb 0.0000 0.5000 0.5000
S 0.2167 0.5000 0.8784
S 0.2275 0.0000 0.2935
S 0.7725 0.0000 0.7065
S 0.7833 0.5000 0.1216

Top 10 peaks for 15 to 90 degrees two-theta, in order of rising 2θ:
2θ/deg	I_rel
24.88	35
25.20	63
28.62	100
29.42	77
37.76	48
38.93	33
39.29	21
44.01	31
45.69	21
51.40	22

---

(4)
Theoretical X-ray diffraction stick pattern of La4TmSe7 for Cu Kα X-rays, from a crystal structure in Alexandria, relaxed with PBE.
Intensities are scaled so that the largest is 100.

Structural model:
a b c (Å): 7.2912 7.2912 12.4928
angles (deg): 104.73 104.73 33.12
Element x y z (fractional)
La 0.0000 0.0000 0.0000
La 0.1918 0.1918 0.7664
La 0.5872 0.5872 0.3772
La 0.8882 0.8882 0.5670
Tm 0.7741 0.7741 0.1471
Se 0.1608 0.1608 0.2192
Se 0.2266 0.2266 0.5199
Se 0.3772 0.3772 0.0725
Se 0.5494 0.5494 0.6229
Se 0.6312 0.6312 0.9313
Se 0.8495 0.8495 0.7867
Se 0.9254 0.9254 0.3450

Top 10 peaks for 15 to 90 degrees two-theta, in order of rising 2θ:
2θ/deg	I_rel
22.25	71
22.57	64
28.87	73
30.37	100
31.52	65
33.54	52
38.92	51
42.30	54
43.42	57
43.56	60

---

(5)
Theoretical X-ray diffraction stick pattern of TbZn4Si2 for Cu Kα X-rays, from a crystal structure in Alexandria, relaxed with PBE.
Intensities are scaled so that the largest is 100.

Structural model:
a b c (Å): 3.9944 14.8353 3.9817
angles (deg): 90.00 90.00 90.00
Element x y z (fractional)
Tb 0.0000 0.0000 0.0000
Tb 0.5000 0.5000 0.0000
Zn 0.0000 0.1829 0.5000
Zn 0.0000 0.3124 0.0000
Zn 0.0000 0.6876 0.0000
Zn 0.0000 0.8171 0.5000
Zn 0.5000 0.1876 0.0000
Zn 0.5000 0.3171 0.5000
Zn 0.5000 0.6829 0.5000
Zn 0.5000 0.8124 0.0000
Si 0.0000 0.4208 0.5000
Si 0.0000 0.5792 0.5000
Si 0.5000 0.0792 0.5000
Si 0.5000 0.9208 0.5000

Top 10 peaks for 15 to 90 degrees two-theta, in order of rising 2θ:
2θ/deg	I_rel
23.06	10
28.73	11
33.01	14
36.33	14
36.69	100
45.41	18
45.57	18
66.29	11
78.12	10
78.34	10

---

(6)
Theoretical X-ray diffraction stick pattern of Na2TcOsC for Cu Kα X-rays, from a crystal structure in Alexandria, relaxed with PBE.
Intensities are scaled so that the largest is 100.

Structural model:
a b c (Å): 4.4916 4.4916 4.0337
angles (deg): 90.00 90.00 90.00
Element x y z (fractional)
Na 0.0000 0.5000 0.0000
Na 0.5000 0.0000 0.0000
Tc 0.0000 0.0000 0.5000
Os 0.5000 0.5000 0.5000
C 0.0000 0.0000 0.0000

Top 10 peaks for 15 to 90 degrees two-theta, in order of rising 2θ:
2θ/deg	I_rel
22.04	42
28.10	56
29.77	14
35.99	100
40.15	42
44.94	15
46.27	25
53.85	18
61.83	23
70.26	28